Diffraction record for KNa2CrF8. The XRD peak list is computed, not measured: it uses a DFT-relaxed cell (GGA+U, Alexandria) and Cu Kα, 1.54184 Å.

Largest 10 diffraction maxima, most intense first, 2θ = 5–70°:
- 2θ 25.45, I 100.0, hkl 1 1 0
- 2θ 25.05, I 73.0, hkl 1 -1 0
- 2θ 29.84, I 66.2, hkl 1 0 2
- 2θ 11.81, I 59.8, hkl 0 0 1
- 2θ 34.78, I 51.6, hkl -1 1 2
- 2θ 47.26, I 47.6, hkl 2 -1 2
- 2θ 47.73, I 30.1, hkl 2 1 -2
- 2θ 21.36, I 28.0, hkl 0 1 -1
- 2θ 17.83, I 25.5, hkl 1 0 0
- 2θ 35.91, I 24.2, hkl 0 2 0

Cell and atoms:
```
data_KNa2CrF8
_space_group_name_H-M_alt 'P 1'
_space_group_IT_number 1
_space_group_name_Hall 'P 1'
_cell_length_a 4.9741
_cell_length_b 5.0042
_cell_length_c 7.4955
_cell_angle_alpha 90.04
_cell_angle_beta 90.08
_cell_angle_gamma 90.90
loop_
_atom_site_label
_atom_site_fract_x
_atom_site_fract_y
_atom_site_fract_z
K1 0.0000 0.0000 0.0000
Na1 0.5001 0.5001 0.2837
Na2 0.4999 0.4999 0.7163
Cr1 0.0000 0.0000 0.5000
F1 0.2045 0.8435 0.3199
F2 0.2056 0.8444 0.6802
F3 0.2361 0.2906 0.4997
F4 0.3045 0.4547 0.9999
F5 0.6955 0.5453 0.0001
F6 0.7639 0.7094 0.5003
F7 0.7944 0.1556 0.3198
F8 0.7955 0.1565 0.6801
```